(1)
Diffraction record for HoAl2B6. The powder XRD pattern is theoretical, not measured: it uses a DFT-relaxed cell (PBE, Alexandria) and Cu Kα (λ = 1.5418 Å).
No peak broadening, texture or thermal motion is included.

Principal peaks in the range 15 to 90 degrees two-theta, low angle first:
two_theta  I_rel
19.06  100.0
25.26  25.5
31.84  59.8
33.33  52.7
38.68  18.1
42.28  84.3
46.76  20.1
51.97  15.3
58.63  21.1
59.57  17.6
63.06  17.6
82.88  15.8

Cell and atoms:
Cell: 5.3758 5.3758 3.5263 Å, 90.00 90.00 120.00°
Space group P6/mmm (No. 191)
Unique sites:
Ho 0.0000 0.0000 0.0000 (multiplicity 1)
Al 0.3333 0.6667 0.0000 (multiplicity 2)
B 0.0000 0.3390 0.5000 (multiplicity 6)

(2)
Diffraction record for NdAlBIr2. The powder XRD pattern is theoretical, not measured: it uses a DFT-relaxed cell (PBE, Alexandria) and Cu Kα (λ = 1.5418 Å).
No peak broadening, texture or thermal motion is included.

Principal peaks in the range 15 to 90 degrees two-theta, low angle first:
two_theta  I_rel
26.07  36.9
29.01  32.6
32.15  100.0
33.71  78.8
33.87  36.4
40.20  52.1
40.70  25.2
43.85  34.5
44.06  35.5
60.01  32.3
61.16  30.8
72.64  26.3

Cell and atoms:
Cell: 4.110 11.354 7.327 Å, 90.00 90.00 90.00°
Space group Cmcm (No. 63)
Unique sites:
Nd 0.000 0.055 0.250 (multiplicity 4)
Al 0.000 0.225 0.750 (multiplicity 4)
B 0.000 0.500 0.000 (multiplicity 4)
Ir 0.000 0.333 0.059 (multiplicity 8)